The following is a calculated X-ray diffraction stick pattern of BaTl2Cu2Cl6. It was derived from a cell relaxed with GGA-PBE, using Cu Kα, 1.54184 Å.
Neutral-atom scattering factors, no anomalous dispersion.

Largest 10 diffraction maxima, by angle, 10° ≤ 2θ ≤ 90°:
| d [Å] | Position (°2θ) | I (rel.) |
| --- | --- | --- |
| 4.163 | 21.34 | 60.1 |
| 3.812 | 23.34 | 49.9 |
| 3.764 | 23.64 | 100.0 |
| 3.500 | 25.45 | 86.1 |
| 2.753 | 32.52 | 34.6 |
| 2.626 | 34.15 | 32.0 |
| 2.505 | 35.84 | 20.8 |
| 2.274 | 39.64 | 27.9 |
| 2.191 | 41.19 | 26.6 |
| 2.029 | 44.66 | 25.6 |

Cell and atoms:
Lattice parameters (Å, degrees): 7.5374 7.5374 8.0456 115.05 115.05 60.76
Sites, in units of the cell vectors:
Ba1 0.0000 0.0000 0.0000
Tl1 0.2253 0.2253 0.6833
Tl2 0.7747 0.7747 0.3167
Cu1 0.4585 0.4585 0.2902
Cu2 0.5415 0.5415 0.7098
Cl1 0.1878 0.6674 0.6674
Cl2 0.2630 0.2630 0.1220
Cl3 0.3326 0.8122 0.3326
Cl4 0.6674 0.1878 0.6674
Cl5 0.7370 0.7370 0.8780
Cl6 0.8122 0.3326 0.3326

The following is a calculated X-ray diffraction stick pattern of CaNdCu3. It was derived from a cell relaxed with GGA-PBE, using Cu Kα, 1.54184 Å.
Neutral-atom scattering factors, no anomalous dispersion.

Largest 10 diffraction maxima, by angle, 10° ≤ 2θ ≤ 90°:
| d [Å] | Position (°2θ) | I (rel.) |
| --- | --- | --- |
| 2.740 | 32.68 | 100.0 |
| 2.670 | 33.56 | 60.2 |
| 2.520 | 35.63 | 40.6 |
| 2.204 | 40.96 | 48.4 |
| 2.156 | 41.89 | 30.7 |
| 1.951 | 46.56 | 22.4 |
| 1.914 | 47.50 | 15.6 |
| 1.678 | 54.72 | 28.6 |
| 1.461 | 63.72 | 24.7 |
| 1.447 | 64.41 | 16.1 |

Cell and atoms:
Lattice parameters (Å, degrees): 12.9647 12.9647 4.3127 90.00 90.00 162.69
Sites, in units of the cell vectors:
Ca1 0.2034 0.7966 0.7500
Ca2 0.7966 0.2034 0.2500
Nd1 0.0705 0.9295 0.2500
Nd2 0.9295 0.0705 0.7500
Cu1 0.3335 0.6665 0.7500
Cu2 0.3821 0.6179 0.2500
Cu3 0.4771 0.5229 0.2500
Cu4 0.5229 0.4771 0.7500
Cu5 0.6179 0.3821 0.7500
Cu6 0.6665 0.3335 0.2500

The following is a calculated X-ray diffraction stick pattern of Y4GePbC. It was derived from a cell relaxed with GGA-PBE, using Cu Kα, 1.54184 Å.
Neutral-atom scattering factors, no anomalous dispersion.

Largest 10 diffraction maxima, by angle, 10° ≤ 2θ ≤ 90°:
| d [Å] | Position (°2θ) | I (rel.) |
| --- | --- | --- |
| 6.193 | 14.30 | 14.4 |
| 3.371 | 26.44 | 31.3 |
| 3.097 | 28.82 | 58.2 |
| 2.617 | 34.27 | 35.9 |
| 2.557 | 35.10 | 100.0 |
| 2.384 | 37.74 | 62.0 |
| 1.762 | 51.89 | 37.4 |
| 1.423 | 65.63 | 15.7 |
| 1.417 | 65.92 | 16.6 |
| 1.407 | 66.43 | 30.9 |

Cell and atoms:
Lattice parameters (Å, degrees): 8.5391 8.5391 6.7448 90.00 90.00 133.51
Sites, in units of the cell vectors:
Y1 0.0000 0.5000 0.0000
Y2 0.0000 0.5000 0.5000
Y3 0.0826 0.9174 0.7500
Y4 0.4086 0.5914 0.7500
Y5 0.5000 0.0000 0.0000
Y6 0.5000 0.0000 0.5000
Y7 0.5914 0.4086 0.2500
Y8 0.9174 0.0826 0.2500
Ge1 0.1143 0.8857 0.2500
Ge2 0.8857 0.1143 0.7500
Pb1 0.3935 0.6065 0.2500
Pb2 0.6065 0.3935 0.7500
C1 0.2481 0.7519 0.7500
C2 0.7519 0.2481 0.2500

The following is a calculated X-ray diffraction stick pattern of La6Sm2Y. It was derived from a cell relaxed with GGA-PBE, using Cu Kα, 1.54184 Å.
Neutral-atom scattering factors, no anomalous dispersion.

Largest 10 diffraction maxima, by angle, 10° ≤ 2θ ≤ 90°:
| d [Å] | Position (°2θ) | I (rel.) |
| --- | --- | --- |
| 3.141 | 28.41 | 58.1 |
| 3.013 | 29.65 | 62.0 |
| 3.000 | 29.78 | 100.0 |
| 2.789 | 32.09 | 46.3 |
| 2.460 | 36.53 | 27.5 |
| 2.392 | 37.60 | 29.5 |
| 2.008 | 45.16 | 19.2 |
| 1.737 | 52.70 | 19.0 |
| 1.637 | 56.19 | 25.2 |
| 1.597 | 57.75 | 24.7 |

Cell and atoms:
Lattice parameters (Å, degrees): 10.2263 10.2263 3.7104 90.00 90.00 124.20
Sites, in units of the cell vectors:
La1 0.0076 0.3366 0.0000
La2 0.1773 0.1773 0.5000
La3 0.3366 0.0076 0.0000
La4 0.6634 0.9924 0.0000
La5 0.8227 0.8227 0.5000
La6 0.9924 0.6634 0.0000
Sm1 0.3265 0.6735 0.5000
Sm2 0.6735 0.3265 0.5000
Y1 0.5000 0.5000 0.0000